[1]
Ba2Y2Co4O9: theoretical X-ray diffraction stick pattern (Cu Kα (weighted mean of Kα1 and Kα2)), based on a GGA+U-relaxed structure.
Peak positions follow from Bragg's law for the DFT cell and can differ from measured ones.

Most intense lines, 10° ≤ 2θ ≤ 90°, by angle:
two_theta  d [Å]  intensity  index
31.5  2.837  46  0 2 -1
31.7  2.821  46  0 2 3
32.2  2.780  86  1 2 1
33.3  2.689  100  1 0 2
43.6  2.076  32  0 4 2
48.7  1.871  24  2 0 0
55.9  1.646  20  1 4 0
58.0  1.589  19  1 2 -3

Structure:
Lattice parameters (Å, degrees): 3.742 8.302 8.754 62.01 89.95 89.99
Space group P1 (No. 1)
Unique sites:
Ba (0.000, 0.000, 0.000) [1 per cell]
Ba (0.001, 0.487, 0.013) [1 per cell]
Y (0.000, 0.732, 0.484) [1 per cell]
Y (0.001, 0.266, 0.487) [1 per cell]
Co (0.501, 0.102, 0.283) [1 per cell]
Co (0.501, 0.378, 0.753) [1 per cell]
Co (0.501, 0.625, 0.242) [1 per cell]
Co (0.501, 0.872, 0.735) [1 per cell]
O (0.001, 0.037, 0.404) [1 per cell]
O (0.001, 0.402, 0.676) [1 per cell]
O (0.001, 0.578, 0.321) [1 per cell]
O (0.500, 0.676, 0.681) [1 per cell]
O (0.500, 0.747, 0.982) [1 per cell]
O (0.501, 0.236, 0.008) [1 per cell]
O (0.501, 0.340, 0.297) [1 per cell]
O (0.501, 0.839, 0.297) [1 per cell]
O (0.502, 0.117, 0.677) [1 per cell]

=====

[2]
Ba2Y2Co4O11: theoretical X-ray diffraction stick pattern (Cu Kα (weighted mean of Kα1 and Kα2)), based on a GGA+U-relaxed structure.
Peak positions follow from Bragg's law for the DFT cell and can differ from measured ones.

Most intense lines, 10° ≤ 2θ ≤ 90°, by angle:
two_theta  d [Å]  intensity  index
32.2  2.780  94  1 0 2
32.7  2.738  100  0 2 2
32.9  2.726  99  1 2 0
40.2  2.244  32  1 2 2
46.4  1.957  33  2 0 0
57.6  1.599  35  1 2 4
57.9  1.592  38  2 2 2
58.9  1.568  41  1 4 2

Structure:
Lattice parameters (Å, degrees): 3.914 7.597 7.900 90.00 90.00 90.00
Space group Pmmm (No. 47)
Unique sites:
Ba (0.000, 0.000, 0.244) [2 per cell]
Y (0.000, 0.500, 0.270) [2 per cell]
Co (0.500, 0.253, 0.500) [2 per cell]
Co (0.500, 0.262, 0.000) [2 per cell]
O (0.000, 0.277, 0.500) [2 per cell]
O (0.000, 0.314, 0.000) [2 per cell]
O (0.500, 0.000, 0.000) [1 per cell]
O (0.500, 0.000, 0.500) [1 per cell]
O (0.500, 0.302, 0.232) [4 per cell]
O (0.500, 0.500, 0.500) [1 per cell]

=====

[3]
Ba2YCoO5: theoretical X-ray diffraction stick pattern (Cu Kα (weighted mean of Kα1 and Kα2)), based on a GGA+U-relaxed structure.
Peak positions follow from Bragg's law for the DFT cell and can differ from measured ones.

Most intense lines, 10° ≤ 2θ ≤ 90°, by angle:
two_theta  d [Å]  intensity  index
28.5  3.132  53  0 0 4
28.9  3.090  64  0 2 0
29.9  2.984  100  2 1 0
30.6  2.925  98  2 1 -4
41.0  2.200  60  0 2 4
45.5  1.993  24  4 0 -4
51.9  1.763  22  2 3 0
52.2  1.752  39  2 3 -4

Structure:
Lattice parameters (Å, degrees): 7.976 6.180 14.665 90.00 121.31 90.00
Space group P2_1/c (No. 14)
Unique sites:
Ba (0.109, 0.248, 0.116) [4 per cell]
Ba (0.368, 0.742, 0.360) [4 per cell]
Y (0.136, 0.249, 0.372) [4 per cell]
Co (0.346, 0.741, 0.093) [4 per cell]
O (0.024, 0.540, 0.770) [4 per cell]
O (0.161, 0.747, 0.633) [4 per cell]
O (0.261, 0.529, 0.490) [4 per cell]
O (0.285, 0.029, 0.518) [4 per cell]
O (0.385, 0.239, 0.828) [4 per cell]

=====

[4]
CsBa2Cr2F11: theoretical X-ray diffraction stick pattern (Cu Kα (weighted mean of Kα1 and Kα2)), based on a GGA+U-relaxed structure.
Peak positions follow from Bragg's law for the DFT cell and can differ from measured ones.

Most intense lines, 10° ≤ 2θ ≤ 90°, by angle:
two_theta  d [Å]  intensity  index
11.4  7.782  29  0 0 2
22.5  3.955  36  1 0 3
23.5  3.778  100  1 1 2
29.2  3.056  35  2 0 0
37.4  2.403  52  2 0 4
40.6  2.224  24  1 1 6
41.8  2.161  38  2 2 0
48.5  1.876  29  3 1 2

Structure:
Lattice parameters (Å, degrees): 6.112 6.112 15.564 90.00 90.00 90.00
Space group I4/mmm (No. 139)
Unique sites:
Cs (0.000, 0.000, 0.000) [2 per cell]
Ba (0.000, 0.500, 0.250) [4 per cell]
Cr (0.000, 0.000, 0.375) [4 per cell]
F (0.000, 0.000, 0.250) [4 per cell]
F (0.000, 0.000, 0.500) [2 per cell]
F (0.225, 0.225, 0.366) [16 per cell]

=====

[5]
Ba2MgCr2CuF14: theoretical X-ray diffraction stick pattern (Cu Kα (weighted mean of Kα1 and Kα2)), based on a GGA+U-relaxed structure.
Peak positions follow from Bragg's law for the DFT cell and can differ from measured ones.

Most intense lines, 10° ≤ 2θ ≤ 90°, by angle:
two_theta  d [Å]  intensity  index
21.9  4.052  22  1 1 2
24.4  3.650  26  0 0 4
25.6  3.479  100  3 1 0
28.0  3.190  23  2 0 4
28.1  3.170  23  3 1 -2
28.7  3.109  25  4 0 2
30.4  2.945  28  1 1 -4
30.7  2.913  22  1 1 4

Structure:
Lattice parameters (Å, degrees): 13.957 5.244 14.608 90.00 91.84 90.00
Space group C2/c (No. 15)
Unique sites:
Ba (0.186, 0.076, 0.123) [8 per cell]
Mg (0.000, 0.430, 0.750) [4 per cell]
Cr (0.118, 0.021, 0.373) [8 per cell]
Cu (0.000, 0.500, 0.000) [4 per cell]
F (0.009, 0.102, 0.661) [8 per cell]
F (0.047, 0.441, 0.123) [8 per cell]
F (0.084, 0.203, 0.484) [8 per cell]
F (0.110, 0.311, 0.289) [8 per cell]
F (0.137, 0.270, 0.955) [8 per cell]
F (0.160, 0.200, 0.775) [8 per cell]
F (0.248, 0.400, 0.597) [8 per cell]